1.
This entry pairs a crystal structure of TiAu4 with its theoretical powder XRD pattern. Radiation: CuKα. Structure: a DFT-relaxed cell (GGA-PBE, the Materials Project).

Most intense lines, 5° ≤ 2θ ≤ 70°, low angle first:
| two_theta | I (rel.) |
| --- | --- |
| 19.01 | 5 |
| 25.98 | 9 |
| 27.01 | 6 |
| 37.83 | 100 |
| 43.35 | 35 |
| 45.17 | 15 |
| 55.14 | 3 |
| 62.45 | 3 |
| 62.97 | 11 |
| 64.39 | 22 |

Unit cell a=6.601 b=6.601 c=4.014 alpha=90.00 beta=90.00 gamma=90.00
Space group I4/m (No. 87)
One atom of each set of equivalent atoms:
Ti (0.000, 0.000, 0.000) (multiplicity 2)
Au (0.105, 0.707, 0.500) (multiplicity 8)

=====

2.
This entry pairs a crystal structure of Y4Pt with its theoretical powder XRD pattern. Radiation: CuKα. Structure: a DFT-relaxed cell (GGA-PBE, the Materials Project).

Most intense lines, 5° ≤ 2θ ≤ 70°, low angle first:
| two_theta | I (rel.) |
| --- | --- |
| 13.85 | 30 |
| 22.72 | 83 |
| 26.71 | 38 |
| 27.92 | 100 |
| 35.34 | 58 |
| 39.89 | 31 |
| 42.42 | 46 |
| 46.40 | 79 |
| 55.02 | 33 |
| 62.81 | 25 |

Unit cell a=11.071 b=11.071 c=11.071 alpha=90.00 beta=90.00 gamma=90.00
Space group Fd-3m (No. 227, origin choice 2)
One atom of each set of equivalent atoms:
Y (0.014, 0.014, 0.236) (multiplicity 32)
Pt (0.125, 0.125, 0.625) (multiplicity 8)